Starting from a DFT-relaxed cell (GGA+U, the Materials Project), the powder diffraction line list of MgMn6O5F7 was calculated for copper Kα.

```
MgMn6O5F7
1.0
5.8932 0.0000 0.0000
1.1744 5.9884 0.0000
1.9467 2.1107 6.7206
Mg Mn O F
1 6 5 7
Cartesian
0.0000 0.0000 0.0000
4.1655 6.2250 4.5231
3.5373 4.8416 1.3690
5.1910 2.8559 5.5816
4.7671 1.8033 2.4246
6.1127 2.9182 0.0155
7.3714 3.8972 3.5182
3.0963 4.9516 3.2816
4.9462 7.4799 6.1810
4.5416 3.1784 1.1576
5.6930 2.8740 3.6281
7.2406 3.6844 5.5012
0.5843 1.2174 1.4280
1.2862 4.2358 1.4268
2.9208 2.0139 3.2482
4.0757 4.6293 5.9882
4.0121 0.3874 0.9701
6.0192 6.0893 3.5066
8.1200 6.7936 5.5911
```

Main lines, in order of rising 2θ (15 to 90 degrees two-theta):
23.4 deg, rel. 100
26.6 deg, rel. 89
33.5 deg, rel. 26
33.8 deg, rel. 30
34.6 deg, rel. 32
34.8 deg, rel. 29